[1]
Calculated X-ray powder pattern
Compound: LiCa2Hg7
Radiation: a wavelength of 1.5418 Å
Structure: a DFT-relaxed cell (PBE, Alexandria)

The 12 most intense peaks (15° ≤ 2θ ≤ 90°), by angle:
2θ = 21.9°, rel. 55; 2θ = 25.2°, rel. 12; 2θ = 29.9°, rel. 42; 2θ = 35.6°, rel. 99; 2θ = 36.3°, rel. 100; 2θ = 42.5°, rel. 12; 2θ = 47.7°, rel. 12; 2θ = 51.8°, rel. 34; 2θ = 64.9°, rel. 35; 2θ = 65.3°, rel. 18; 2θ = 77.1°, rel. 12; 2θ = 87.9°, rel. 16

Structure:
```
LiCa2Hg7
1.0
4.949 0.000 0.000
-2.474 4.286 0.000
0.000 0.000 12.481
Li Ca Hg
1 2 7
Cartesian
0.000 0.000 0.000
0.000 2.857 8.644
2.474 1.429 4.352
0.000 0.000 3.132
0.000 0.000 6.801
0.000 2.857 2.287
0.000 2.857 5.605
0.000 2.857 11.718
2.474 1.429 0.921
2.474 1.429 10.239
```



[2]
Calculated X-ray powder pattern
Compound: Pa2InCu2S6
Radiation: a wavelength of 1.5418 Å
Structure: a DFT-relaxed cell (PBE, Alexandria)

The 12 most intense peaks (15° ≤ 2θ ≤ 90°), by angle:
2θ = 15.1°, rel. 42; 2θ = 24.1°, rel. 20; 2θ = 24.5°, rel. 31; 2θ = 25.0°, rel. 40; 2θ = 27.7°, rel. 26; 2θ = 28.4°, rel. 45; 2θ = 28.7°, rel. 100; 2θ = 29.1°, rel. 18; 2θ = 37.3°, rel. 18; 2θ = 38.1°, rel. 27; 2θ = 38.3°, rel. 30; 2θ = 44.0°, rel. 21

Structure:
```
Pa2InCu2S6
1.0
7.124 0.000 0.000
-3.430 6.399 0.000
-3.458 -1.919 6.137
Pa In Cu S
2 1 2 6
Cartesian
-1.677 1.170 2.998
1.913 3.311 3.139
1.833 -0.959 3.068
1.310 1.929 0.397
-1.074 2.552 5.740
-2.549 -0.895 4.546
-2.915 3.007 4.515
-0.273 3.023 1.589
0.509 1.458 4.548
3.151 1.474 1.622
2.785 5.375 1.590
```



[3]
Calculated X-ray powder pattern
Compound: PuIn3Cl7
Radiation: a wavelength of 1.5418 Å
Structure: a DFT-relaxed cell (PBE, Alexandria)

The 12 most intense peaks (15° ≤ 2θ ≤ 90°), by angle:
2θ = 19.5°, rel. 49; 2θ = 22.1°, rel. 100; 2θ = 23.4°, rel. 48; 2θ = 25.0°, rel. 23; 2θ = 33.6°, rel. 58; 2θ = 34.9°, rel. 29; 2θ = 36.4°, rel. 22; 2θ = 38.5°, rel. 42; 2θ = 39.5°, rel. 27; 2θ = 41.6°, rel. 14; 2θ = 43.7°, rel. 26; 2θ = 51.3°, rel. 18

Structure:
```
PuIn3Cl7
1.0
5.231 -4.935 0.000
5.231 4.935 0.000
-3.899 0.000 6.943
Pu In Cl
1 3 7
Cartesian
0.000 0.000 0.000
3.887 2.621 3.844
5.710 0.000 0.396
3.887 -2.621 3.844
1.256 2.654 5.408
-1.437 0.000 5.787
6.150 3.098 1.689
1.256 -2.654 5.408
4.068 0.000 5.493
8.451 0.000 1.851
6.150 -3.098 1.689
```



[4]
Calculated X-ray powder pattern
Compound: SrPmPr2
Radiation: a wavelength of 1.5418 Å
Structure: a DFT-relaxed cell (PBE, Alexandria)

The 12 most intense peaks (15° ≤ 2θ ≤ 90°), by angle:
2θ = 27.6°, rel. 32; 2θ = 28.5°, rel. 42; 2θ = 29.7°, rel. 100; 2θ = 32.0°, rel. 62; 2θ = 36.3°, rel. 29; 2θ = 48.0°, rel. 33; 2θ = 49.7°, rel. 25; 2θ = 56.8°, rel. 36; 2θ = 57.5°, rel. 15; 2θ = 58.9°, rel. 15; 2θ = 78.1°, rel. 13; 2θ = 79.3°, rel. 19

Structure:
```
SrPmPr2
1.0
1.894 1.094 12.538
-1.894 1.094 12.538
0.000 -2.187 12.538
Sr Pm Pr
1 1 2
Cartesian
0.000 0.000 0.000
0.000 0.000 31.368
0.000 0.000 9.202
0.000 0.000 15.901
```



[5]
Calculated X-ray powder pattern
Compound: HfTh3Pb5
Radiation: a wavelength of 1.5418 Å
Structure: a DFT-relaxed cell (PBE, Alexandria)

The 12 most intense peaks (15° ≤ 2θ ≤ 90°), by angle:
2θ = 27.8°, rel. 10; 2θ = 31.6°, rel. 66; 2θ = 32.1°, rel. 86; 2θ = 33.6°, rel. 100; 2θ = 41.4°, rel. 18; 2θ = 47.1°, rel. 29; 2θ = 49.6°, rel. 12; 2θ = 51.6°, rel. 17; 2θ = 58.2°, rel. 17; 2θ = 60.3°, rel. 13; 2θ = 63.6°, rel. 12; 2θ = 67.4°, rel. 21

Structure:
```
HfTh3Pb5
1.0
9.654 0.000 0.000
-4.827 8.361 0.000
0.000 0.000 6.413
Hf Th Pb
2 6 10
Cartesian
0.000 0.000 0.000
0.000 0.000 3.206
-1.852 3.207 1.603
-2.975 5.153 4.810
3.703 0.000 1.603
1.852 3.207 4.810
5.951 0.000 4.810
2.975 5.153 1.603
-1.292 2.237 4.810
-3.536 6.124 1.603
2.583 0.000 4.810
1.292 2.237 1.603
0.000 5.574 0.000
0.000 5.574 3.206
4.827 2.787 0.000
4.827 2.787 3.206
7.071 0.000 1.603
3.536 6.124 4.810
```



[6]
Calculated X-ray powder pattern
Compound: BaUSeS2
Radiation: a wavelength of 1.5418 Å
Structure: a DFT-relaxed cell (PBE, Alexandria)

The 12 most intense peaks (15° ≤ 2θ ≤ 90°), by angle:
2θ = 16.9°, rel. 45; 2θ = 23.2°, rel. 100; 2θ = 24.0°, rel. 90; 2θ = 31.8°, rel. 28; 2θ = 34.2°, rel. 69; 2θ = 36.2°, rel. 43; 2θ = 40.2°, rel. 35; 2θ = 41.7°, rel. 44; 2θ = 47.3°, rel. 37; 2θ = 49.1°, rel. 25; 2θ = 50.6°, rel. 33; 2θ = 55.3°, rel. 20

Structure:
```
BaUSeS2
1.0
5.251 0.000 0.000
0.000 5.251 0.000
0.000 0.000 5.632
Ba U Se S
1 1 1 2
Cartesian
0.000 0.000 0.000
2.625 2.625 2.228
2.625 2.625 5.017
0.000 2.625 2.036
2.625 0.000 2.036
```



[7]
Calculated X-ray powder pattern
Compound: Sm7Bi5
Radiation: a wavelength of 1.5418 Å
Structure: a DFT-relaxed cell (PBE, Alexandria)

The 12 most intense peaks (15° ≤ 2θ ≤ 90°), by angle:
2θ = 22.3°, rel. 60; 2θ = 26.7°, rel. 64; 2θ = 27.5°, rel. 57; 2θ = 27.9°, rel. 100; 2θ = 28.9°, rel. 55; 2θ = 30.2°, rel. 75; 2θ = 30.8°, rel. 86; 2θ = 34.1°, rel. 40; 2θ = 37.8°, rel. 55; 2θ = 39.8°, rel. 54; 2θ = 39.9°, rel. 72; 2θ = 40.8°, rel. 39

Structure:
```
Sm7Bi5
1.0
7.422 -2.257 0.000
7.422 2.257 0.000
-4.489 0.000 12.273
Sm Bi
7 5
Cartesian
0.000 0.000 0.000
-0.016 0.000 6.566
-0.529 0.000 10.314
3.543 0.000 8.777
6.812 0.000 3.497
10.884 0.000 1.959
10.372 0.000 5.708
1.621 0.000 3.548
5.341 0.000 0.799
5.178 0.000 6.137
5.015 0.000 11.475
8.734 0.000 8.725
```



[8]
Calculated X-ray powder pattern
Compound: KNa4Sn
Radiation: a wavelength of 1.5418 Å
Structure: a DFT-relaxed cell (PBE, Alexandria)

The 12 most intense peaks (15° ≤ 2θ ≤ 90°), by angle:
2θ = 18.4°, rel. 100; 2θ = 18.8°, rel. 35; 2θ = 27.3°, rel. 42; 2θ = 29.1°, rel. 51; 2θ = 29.4°, rel. 60; 2θ = 30.4°, rel. 38; 2θ = 30.9°, rel. 93; 2θ = 31.6°, rel. 81; 2θ = 33.1°, rel. 43; 2θ = 33.4°, rel. 74; 2θ = 34.5°, rel. 40; 2θ = 43.7°, rel. 49

Structure:
```
KNa4Sn
1.0
6.419 -2.828 0.000
6.419 2.828 0.000
-1.017 0.000 12.276
K Na Sn
2 8 2
Cartesian
0.448 0.000 4.252
11.374 0.000 8.025
0.592 0.000 11.370
3.715 0.000 2.378
3.783 0.000 5.632
4.272 0.000 10.765
7.549 0.000 1.511
8.038 0.000 6.644
8.106 0.000 9.899
11.229 0.000 0.907
2.146 0.000 8.403
9.675 0.000 3.873
```



[9]
Calculated X-ray powder pattern
Compound: ThMgGe2
Radiation: a wavelength of 1.5418 Å
Structure: a DFT-relaxed cell (PBE, Alexandria)

The 12 most intense peaks (15° ≤ 2θ ≤ 90°), by angle:
2θ = 16.9°, rel. 25; 2θ = 21.7°, rel. 46; 2θ = 30.2°, rel. 69; 2θ = 30.3°, rel. 23; 2θ = 34.9°, rel. 100; 2θ = 43.4°, rel. 35; 2θ = 44.4°, rel. 36; 2θ = 53.8°, rel. 28; 2θ = 61.5°, rel. 12; 2θ = 63.1°, rel. 12; 2θ = 63.9°, rel. 25; 2θ = 74.2°, rel. 23

Structure:
```
ThMgGe2
1.0
-2.084 2.084 10.515
2.084 -2.084 10.515
2.084 2.084 -10.515
Th Mg Ge
2 2 4
Cartesian
0.000 0.000 2.283
0.000 0.000 18.747
2.084 0.000 5.257
0.000 2.084 5.257
2.084 0.000 0.000
0.000 0.000 7.114
0.000 2.084 0.000
0.000 0.000 13.916
```



[10]
Calculated X-ray powder pattern
Compound: Nb5Ru3
Radiation: a wavelength of 1.5418 Å
Structure: a DFT-relaxed cell (PBE, Alexandria)

The 4 most intense peaks (15° ≤ 2θ ≤ 90°), by angle:
2θ = 39.6°, rel. 100; 2θ = 57.3°, rel. 17; 2θ = 71.9°, rel. 33; 2θ = 85.3°, rel. 10

Structure:
```
Nb5Ru3
1.0
3.219 0.000 0.000
0.000 3.219 0.000
0.000 0.000 12.863
Nb Ru
5 3
Cartesian
0.000 0.000 0.000
0.000 0.000 3.143
0.000 0.000 9.721
1.609 1.609 4.849
1.609 1.609 8.014
0.000 0.000 6.432
1.609 1.609 1.583
1.609 1.609 11.280
```



[11]
Calculated X-ray powder pattern
Compound: LiCaSe2
Radiation: a wavelength of 1.5418 Å
Structure: a DFT-relaxed cell (PBE, Alexandria)

The 12 most intense peaks (15° ≤ 2θ ≤ 90°), by angle:
2θ = 24.7°, rel. 26; 2θ = 27.3°, rel. 41; 2θ = 28.0°, rel. 19; 2θ = 31.1°, rel. 100; 2θ = 31.2°, rel. 49; 2θ = 42.5°, rel. 41; 2θ = 43.4°, rel. 19; 2θ = 45.6°, rel. 17; 2θ = 46.7°, rel. 31; 2θ = 50.7°, rel. 12; 2θ = 56.3°, rel. 17; 2θ = 64.8°, rel. 11

Structure:
```
LiCaSe2
1.0
4.209 0.000 0.000
0.000 3.975 0.000
-0.748 0.000 5.735
Li Ca Se
1 1 2
Cartesian
0.000 0.000 0.000
1.730 1.988 2.867
-0.374 0.000 2.867
2.105 1.988 0.000
```



[12]
Calculated X-ray powder pattern
Compound: Ba2TaAg
Radiation: a wavelength of 1.5418 Å
Structure: a DFT-relaxed cell (PBE, Alexandria)

The 12 most intense peaks (15° ≤ 2θ ≤ 90°), by angle:
2θ = 31.0°, rel. 51; 2θ = 31.1°, rel. 100; 2θ = 31.9°, rel. 47; 2θ = 35.9°, rel. 34; 2θ = 36.5°, rel. 65; 2θ = 51.5°, rel. 24; 2θ = 52.7°, rel. 23; 2θ = 61.6°, rel. 14; 2θ = 61.9°, rel. 14; 2θ = 62.2°, rel. 14; 2θ = 62.4°, rel. 14; 2θ = 63.2°, rel. 13

Structure:
```
Ba2TaAg
1.0
3.082 -1.755 0.000
3.082 1.755 0.000
-1.929 0.000 11.226
Ba Ta Ag
2 1 1
Cartesian
1.057 0.000 2.794
3.180 0.000 8.432
3.082 0.000 0.000
-0.964 0.000 5.613
```



[13]
Calculated X-ray powder pattern
Compound: NaIn9Ag2
Radiation: a wavelength of 1.5418 Å
Structure: a DFT-relaxed cell (PBE, Alexandria)

The 12 most intense peaks (15° ≤ 2θ ≤ 90°), by angle:
2θ = 28.0°, rel. 10; 2θ = 31.5°, rel. 60; 2θ = 32.1°, rel. 29; 2θ = 33.6°, rel. 17; 2θ = 36.7°, rel. 31; 2θ = 37.7°, rel. 100; 2θ = 39.1°, rel. 24; 2θ = 49.1°, rel. 10; 2θ = 56.8°, rel. 14; 2θ = 60.9°, rel. 14; 2θ = 62.8°, rel. 14; 2θ = 67.1°, rel. 10

Structure:
```
NaIn9Ag2
1.0
-6.238 6.238 4.092
6.238 -6.238 4.092
6.238 6.238 -4.092
Na In Ag
2 18 4
Cartesian
6.238 3.119 1.023
0.000 3.119 3.069
4.718 -0.726 1.394
7.758 -0.726 1.394
6.238 -3.119 3.069
2.393 1.599 0.652
10.083 1.599 0.652
4.718 5.512 -1.394
1.520 -0.726 2.698
2.393 4.639 0.652
3.845 -1.599 4.744
2.393 7.837 -0.652
3.845 1.599 3.440
4.718 6.964 1.394
1.520 0.726 5.486
-3.845 4.639 3.440
3.845 4.639 3.440
0.000 9.357 1.023
-1.520 6.964 2.698
1.520 6.964 2.698
0.000 0.000 0.000
3.119 3.119 -2.046
3.119 -3.119 2.046
0.000 6.238 0.000
```



[14]
Calculated X-ray powder pattern
Compound: PuMg2Rh
Radiation: a wavelength of 1.5418 Å
Structure: a DFT-relaxed cell (PBE, Alexandria)

The 12 most intense peaks (15° ≤ 2θ ≤ 90°), by angle:
2θ = 21.5°, rel. 60; 2θ = 28.6°, rel. 54; 2θ = 30.6°, rel. 24; 2θ = 36.1°, rel. 100; 2θ = 40.9°, rel. 39; 2θ = 43.9°, rel. 15; 2θ = 46.7°, rel. 32; 2θ = 53.2°, rel. 36; 2θ = 61.6°, rel. 17; 2θ = 63.8°, rel. 17; 2θ = 71.4°, rel. 29; 2θ = 83.7°, rel. 16

Structure:
```
PuMg2Rh
1.0
3.120 0.000 0.000
0.000 3.120 0.000
0.000 0.000 8.251
Pu Mg Rh
1 2 1
Cartesian
0.000 0.000 0.000
1.560 1.560 2.602
1.560 1.560 5.649
0.000 0.000 4.125
```